This entry pairs a crystal structure of AgSbTe2 with its theoretical powder diffractogram. Radiation: Cu Kα (weighted mean of Kα1 and Kα2). Structure: a DFT-relaxed cell (GGA-PBE, the Materials Project).

Atomic structure:
a b c (Å): 5.790 3.116 8.168
angles (deg): 90.00 107.39 90.00
Positions (direct):
1 Ag 0.000 0.000 0.000
2 Sb 0.000 0.000 0.500
3 Te 0.500 0.000 0.000
4 Te 0.500 0.000 0.500

Peak list (10 most intense, 2θ from 10° to 90°, low angle first)
2θ 22.8, I = 100, (0 0 2); 2θ 28.7, I = 56, (0 1 0); 2θ 32.4, I = 41, (2 0 0); 2θ 33.7, I = 37, (2 0 -2); 2θ 36.9, I = 57, (0 1 2); 2θ 43.8, I = 35, (2 1 0); 2θ 44.8, I = 33, (2 1 -2); 2θ 54.7, I = 18, (2 1 2); 2θ 55.6, I = 17, (0 1 4); 2θ 64.4, I = 16, (0 2 2)